# 1
# HoPaOsSe
Computed XRD peak list, copper Kα. Input: the GGA-PBE geometry in Alexandria.
No peak broadening, texture or thermal motion is included.

Main lines, in order of falling intensity (2θ from 10° to 90°):
2θ/deg	I_rel
33.35	100
45.87	47
27.30	43
12.27	37
39.24	31
49.83	23
57.88	21
76.82	19

Crystal structure
```
data_HoPaOsSe
_chemical_formula_sum 'Ho3 Pa3 Os3 Se3'
_cell_length_a 3.957
_cell_length_b 3.957
_cell_length_c 21.646
_cell_angle_alpha 90.00
_cell_angle_beta 90.00
_cell_angle_gamma 120.00
_symmetry_space_group_name_H-M 'P 1'
_symmetry_Int_Tables_number 1
_symmetry_space_group_name_Hall 'P 1'
loop_
_atom_site_label
_atom_site_type_symbol
_atom_site_fract_x
_atom_site_fract_y
_atom_site_fract_z
Ho1 Ho 0.000 0.000 0.000
Ho2 Ho 0.333 0.667 0.667
Ho3 Ho 0.667 0.333 0.333
Pa1 Pa 0.000 0.000 0.811
Pa2 Pa 0.333 0.667 0.478
Pa3 Pa 0.667 0.333 0.145
Os1 Os 0.000 0.000 0.414
Os2 Os 0.333 0.667 0.080
Os3 Os 0.667 0.333 0.747
Se1 Se 0.000 0.000 0.240
Se2 Se 0.333 0.667 0.906
Se3 Se 0.667 0.333 0.573
```



# 2
# Sm12PuRu7
Computed XRD peak list, copper Kα. Input: the GGA-PBE geometry in Alexandria.
No peak broadening, texture or thermal motion is included.

Main lines, in order of falling intensity (2θ from 10° to 90°):
2θ/deg	I_rel
32.24	100
27.25	45
44.75	44
12.12	24
11.99	24
29.49	21
54.51	20
47.70	16

Crystal structure
```
data_Sm12PuRu7
_chemical_formula_sum 'Sm12 Pu1 Ru7'
_cell_length_a 8.958
_cell_length_b 8.958
_cell_length_c 8.958
_cell_angle_alpha 109.18
_cell_angle_beta 109.18
_cell_angle_gamma 109.18
_symmetry_space_group_name_H-M 'P 1'
_symmetry_Int_Tables_number 1
_symmetry_space_group_name_Hall 'P 1'
loop_
_atom_site_label
_atom_site_type_symbol
_atom_site_fract_x
_atom_site_fract_y
_atom_site_fract_z
Sm1 Sm 0.098 0.247 0.660
Sm2 Sm 0.133 0.423 0.345
Sm3 Sm 0.247 0.660 0.098
Sm4 Sm 0.340 0.902 0.753
Sm5 Sm 0.345 0.133 0.423
Sm6 Sm 0.423 0.345 0.133
Sm7 Sm 0.577 0.655 0.867
Sm8 Sm 0.655 0.867 0.577
Sm9 Sm 0.660 0.098 0.247
Sm10 Sm 0.753 0.340 0.902
Sm11 Sm 0.867 0.577 0.655
Sm12 Sm 0.902 0.753 0.340
Pu1 Pu 0.000 0.000 0.000
Ru1 Ru 0.041 0.950 0.722
Ru2 Ru 0.050 0.278 0.959
Ru3 Ru 0.278 0.959 0.050
Ru4 Ru 0.500 0.500 0.500
Ru5 Ru 0.722 0.041 0.950
Ru6 Ru 0.950 0.722 0.041
Ru7 Ru 0.959 0.050 0.278
```



# 3
# Rb2BaNpCl8
Computed XRD peak list, copper Kα. Input: the GGA-PBE geometry in Alexandria.
No peak broadening, texture or thermal motion is included.

Main lines, in order of falling intensity (2θ from 10° to 90°):
2θ/deg	I_rel
21.52	100
31.96	53
18.36	42
35.83	31
11.54	30
32.91	21
41.31	21
37.94	20

Crystal structure
```
data_Rb2BaNpCl8
_chemical_formula_sum 'Rb2 Ba1 Np1 Cl8'
_cell_length_a 5.520
_cell_length_b 9.806
_cell_length_c 7.775
_cell_angle_alpha 90.00
_cell_angle_beta 99.53
_cell_angle_gamma 90.00
_symmetry_space_group_name_H-M 'P 1'
_symmetry_Int_Tables_number 1
_symmetry_space_group_name_Hall 'P 1'
loop_
_atom_site_label
_atom_site_type_symbol
_atom_site_fract_x
_atom_site_fract_y
_atom_site_fract_z
Rb1 Rb 0.000 0.250 0.000
Rb2 Rb 0.000 0.750 0.000
Ba1 Ba 0.500 0.000 0.500
Np1 Np 0.500 0.500 0.500
Cl1 Cl 0.012 0.000 0.733
Cl2 Cl 0.074 0.500 0.299
Cl3 Cl 0.433 0.292 0.708
Cl4 Cl 0.433 0.708 0.708
Cl5 Cl 0.567 0.292 0.292
Cl6 Cl 0.567 0.708 0.292
Cl7 Cl 0.926 0.500 0.701
Cl8 Cl 0.988 0.000 0.267
```



# 4
# TmPaAsN2
Computed XRD peak list, copper Kα. Input: the GGA-PBE geometry in Alexandria.
No peak broadening, texture or thermal motion is included.

Main lines, in order of falling intensity (2θ from 10° to 90°):
2θ/deg	I_rel
31.67	100
32.74	41
57.77	37
55.71	22
46.98	19
24.10	16
14.27	15
66.14	11

Crystal structure
```
data_TmPaAsN2
_chemical_formula_sum 'Tm2 Pa2 As2 N4'
_cell_length_a 3.868
_cell_length_b 3.868
_cell_length_c 12.412
_cell_angle_alpha 90.00
_cell_angle_beta 90.00
_cell_angle_gamma 90.00
_symmetry_space_group_name_H-M 'P 1'
_symmetry_Int_Tables_number 1
_symmetry_space_group_name_Hall 'P 1'
loop_
_atom_site_label
_atom_site_type_symbol
_atom_site_fract_x
_atom_site_fract_y
_atom_site_fract_z
Tm1 Tm 0.000 0.000 0.000
Tm2 Tm 0.500 0.500 0.500
Pa1 Pa 0.000 0.000 0.326
Pa2 Pa 0.500 0.500 0.826
As1 As 0.000 0.000 0.663
As2 As 0.500 0.500 0.163
N1 N 0.000 0.500 0.406
N2 N 0.000 0.500 0.906
N3 N 0.500 0.000 0.406
N4 N 0.500 0.000 0.906
```